1.
Computed XRD peak list
Compound: Tb4ScZn
Radiation: Cu Ka
Structure: a structure optimized by DFT (PBE)

Top 10 peaks for 2θ from 15° to 90°, by intensity:
- 2θ 32.36, d 2.766, I = 100, (1 0 3)
- 2θ 35.91, d 2.501, I = 44, (1 1 0)
- 2θ 62.32, d 1.490, I = 30, (2 1 3)
- 2θ 26.07, d 3.418, I = 21, (1 0 1)
- 2θ 51.70, d 1.768, I = 15, (2 0 0)
- 2θ 55.34, d 1.660, I = 13, (1 1 6)
- 2θ 40.64, d 2.220, I = 8, (0 0 6)
- 2θ 26.77, d 3.330, I = 8, (0 0 4)
- 2θ 45.35, d 2.000, I = 8, (1 1 4)
- 2θ 61.56, d 1.506, I = 7, (1 0 8)

Structural model:
Unit cell a=3.536 b=3.536 c=13.321 alpha=90.00 beta=90.00 gamma=90.00
Space group P4/mmm (No. 123)
Inequivalent atoms, fractional coordinates:
1 Tb 0.000 0.000 0.135
2 Tb 0.500 0.500 0.328
3 Sc 0.000 0.000 0.500
4 Zn 0.500 0.500 0.000

2.
Computed XRD peak list
Compound: Sr2Ga9Rh3
Radiation: Cu Ka
Structure: a structure optimized by DFT (PBE)

Top 10 peaks for 2θ from 15° to 90°, by intensity:
- 2θ 35.76, d 2.511, I = 100, (3 1 2)
- 2θ 40.93, d 2.205, I = 91, (3 3 -1)
- 2θ 35.88, d 2.503, I = 57, (0 2 3)
- 2θ 40.61, d 2.221, I = 48, (6 0 -2)
- 2θ 36.07, d 2.490, I = 41, (0 0 4)
- 2θ 44.96, d 2.016, I = 38, (3 3 -3)
- 2θ 43.39, d 2.085, I = 31, (3 1 3)
- 2θ 17.81, d 4.981, I = 24, (0 0 2)
- 2θ 55.66, d 1.651, I = 22, (3 3 -5)
- 2θ 60.86, d 1.522, I = 17, (3 1 5)

Structural model:
Unit cell a=13.329 b=7.620 c=10.919 alpha=90.00 beta=114.17 gamma=90.00
Space group C2/c (No. 15)
Inequivalent atoms, fractional coordinates:
1 Sr 0.168 0.083 0.249
2 Ga 0.000 0.374 0.250
3 Ga 0.060 0.090 0.927
4 Ga 0.099 0.418 0.055
5 Ga 0.102 0.317 0.748
6 Ga 0.223 0.419 0.431
7 Rh 0.085 0.243 0.501
8 Rh 0.250 0.250 0.000

3.
Computed XRD peak list
Compound: CaTb12Ho5
Radiation: Cu Ka
Structure: a structure optimized by DFT (PBE)

Top 10 peaks for 2θ from 15° to 90°, by intensity:
- 2θ 30.72, d 2.910, I = 100, (3 1 0)
- 2θ 35.62, d 2.520, I = 51, (0 2 0)
- 2θ 51.26, d 1.782, I = 36, (3 2 3)
- 2θ 60.95, d 1.520, I = 35, (3 3 0)
- 2θ 83.60, d 1.157, I = 14, (3 3 6)
- 2θ 63.98, d 1.455, I = 12, (6 2 0)
- 2θ 86.35, d 1.127, I = 10, (3 4 3)
- 2θ 61.00, d 1.519, I = 7, (6 1 3)
- 2θ 86.24, d 1.128, I = 7, (6 2 -6)
- 2θ 75.47, d 1.260, I = 4, (0 4 0)

Structural model:
Unit cell a=10.690 b=5.039 c=10.701 alpha=90.00 beta=90.08 gamma=90.00
Space group P2/m (No. 10)
Inequivalent atoms, fractional coordinates:
1 Ca 0.000 0.000 0.000
2 Tb 0.000 0.000 0.338
3 Tb 0.167 0.500 0.500
4 Tb 0.172 0.500 0.172
5 Tb 0.334 0.000 0.334
6 Tb 0.338 0.000 0.000
7 Tb 0.500 0.500 0.167
8 Ho 0.173 0.500 0.827
9 Ho 0.334 0.000 0.666
10 Ho 0.500 0.500 0.500

4.
Computed XRD peak list
Compound: SrTl2Hg7
Radiation: Cu Ka
Structure: a structure optimized by DFT (PBE)

Top 10 peaks for 2θ from 15° to 90°, by intensity:
- 2θ 34.94, d 2.568, I = 100, (1 1 0)
- 2θ 33.63, d 2.665, I = 97, (0 1 4)
- 2θ 61.82, d 1.501, I = 35, (1 2 4)
- 2θ 49.27, d 1.849, I = 34, (2 0 4)
- 2θ 24.06, d 3.699, I = 20, (0 1 2)
- 2θ 62.65, d 1.483, I = 19, (3 0 0)
- 2θ 28.41, d 3.142, I = 17, (1 0 3)
- 2θ 83.58, d 1.157, I = 16, (3 1 4)
- 2θ 59.28, d 1.559, I = 13, (1 0 8)
- 2θ 81.35, d 1.183, I = 13, (2 1 8)

Structural model:
Unit cell a=5.1365 b=5.1365 c=13.3160 alpha=90.00 beta=90.00 gamma=120.00
Space group P3m1 (No. 156)
Inequivalent atoms, fractional coordinates:
1 Sr 0.0000 0.0000 0.0000
2 Tl 0.3333 0.6667 0.5669
3 Tl 0.6667 0.3333 0.4085
4 Hg 0.0000 0.0000 0.2466
5 Hg 0.0000 0.0000 0.7347
6 Hg 0.3333 0.6667 0.3204
7 Hg 0.3333 0.6667 0.8615
8 Hg 0.6667 0.3333 0.1430
9 Hg 0.6667 0.3333 0.6489
10 Hg 0.6667 0.3333 0.8826

5.
Computed XRD peak list
Compound: LiPuU2Se5
Radiation: Cu Ka
Structure: a structure optimized by DFT (PBE)

Top 10 peaks for 2θ from 15° to 90°, by intensity:
- 2θ 32.94, d 2.719, I = 100, (2 1 3)
- 2θ 21.05, d 4.221, I = 88, (1 1 2)
- 2θ 38.16, d 2.358, I = 54, (3 1 0)
- 2θ 35.05, d 2.560, I = 51, (2 0 4)
- 2θ 44.26, d 2.046, I = 29, (3 2 1)
- 2θ 41.98, d 2.152, I = 26, (2 1 5)
- 2θ 69.61, d 1.351, I = 24, (5 1 4)
- 2θ 46.34, d 1.959, I = 23, (3 1 4)
- 2θ 25.29, d 3.521, I = 22, (0 0 4)
- 2θ 50.65, d 1.802, I = 21, (4 0 2)

Structural model:
Unit cell a=7.457 b=7.457 c=14.086 alpha=90.00 beta=90.00 gamma=90.00
Space group I4/mcm (No. 140)
Inequivalent atoms, fractional coordinates:
1 Li 0.000 0.500 0.250
2 Pu 0.000 0.000 0.250
3 U 0.116 0.384 0.000
4 Se 0.000 0.000 0.000
5 Se 0.179 0.321 0.358

6.
Computed XRD peak list
Compound: PuAu2Cl6
Radiation: Cu Ka
Structure: a structure optimized by DFT (PBE)

Top 10 peaks for 2θ from 15° to 90°, by intensity:
- 2θ 20.57, d 4.317, I = 100, (3 1 0)
- 2θ 36.70, d 2.449, I = 52, (3 1 2)
- 2θ 33.51, d 2.674, I = 51, (5 1 0)
- 2θ 20.26, d 4.384, I = 50, (1 3 0)
- 2θ 28.93, d 3.086, I = 46, (3 3 -1)
- 2θ 41.92, d 2.155, I = 45, (1 5 -2)
- 2θ 26.52, d 3.361, I = 43, (0 0 2)
- 2θ 30.24, d 2.955, I = 41, (2 2 -2)
- 2θ 18.37, d 4.829, I = 39, (0 2 1)
- 2θ 39.01, d 2.309, I = 39, (5 1 -2)

Structural model:
Unit cell a=13.871 b=13.890 c=6.841 alpha=90.00 beta=100.78 gamma=90.00
Space group C2/c (No. 15)
Inequivalent atoms, fractional coordinates:
1 Pu 0.000 0.082 0.250
2 Au 0.113 0.499 0.306
3 Cl 0.106 0.059 0.618
4 Cl 0.113 0.205 0.151
5 Cl 0.119 0.387 0.560

7.
Computed XRD peak list
Compound: Sr3Zn6Pt5
Radiation: Cu Ka
Structure: a structure optimized by DFT (PBE)

Top 10 peaks for 2θ from 15° to 90°, by intensity:
- 2θ 34.46, d 2.602, I = 100, (1 3 2)
- 2θ 41.10, d 2.196, I = 45, (2 0 0)
- 2θ 40.41, d 2.232, I = 28, (1 5 0)
- 2θ 28.99, d 3.080, I = 21, (1 3 0)
- 2θ 27.56, d 3.237, I = 20, (0 0 3)
- 2θ 22.21, d 4.002, I = 19, (1 0 1)
- 2θ 27.64, d 3.227, I = 18, (0 3 2)
- 2θ 33.24, d 2.695, I = 17, (0 4 2)
- 2θ 44.67, d 2.028, I = 17, (1 5 2)
- 2θ 44.62, d 2.031, I = 16, (1 4 3)

Structural model:
Unit cell a=4.393 b=12.964 c=9.707 alpha=90.00 beta=90.00 gamma=90.00
Space group Pmmn (No. 59, origin choice 2)
Inequivalent atoms, fractional coordinates:
1 Sr 0.250 0.061 0.250
2 Sr 0.250 0.750 0.243
3 Zn 0.250 0.065 0.914
4 Zn 0.250 0.250 0.044
5 Zn 0.250 0.250 0.470
6 Zn 0.250 0.599 0.516
7 Pt 0.250 0.089 0.631
8 Pt 0.250 0.638 0.960
9 Pt 0.250 0.750 0.698

8.
Computed XRD peak list
Compound: YZr2S6
Radiation: Cu Ka
Structure: a structure optimized by DFT (PBE)

Top 10 peaks for 2θ from 15° to 90°, by intensity:
- 2θ 19.63, d 4.523, I = 100, (1 1 0)
- 2θ 28.56, d 3.126, I = 87, (2 0 1)
- 2θ 35.14, d 2.554, I = 75, (0 2 0)
- 2θ 41.44, d 2.179, I = 60, (5 1 -3)
- 2θ 41.64, d 2.169, I = 57, (3 1 1)
- 2θ 32.88, d 2.724, I = 53, (4 0 -3)
- 2θ 20.37, d 4.359, I = 47, (2 0 -2)
- 2θ 45.88, d 1.978, I = 44, (2 2 1)
- 2θ 44.10, d 2.053, I = 44, (2 0 -4)
- 2θ 57.59, d 1.600, I = 41, (2 2 -4)

Structural model:
Unit cell a=12.564 b=5.108 c=8.748 alpha=90.00 beta=129.22 gamma=90.00
Space group C2/m (No. 12)
Inequivalent atoms, fractional coordinates:
1 Y 0.000 0.000 0.000
2 Zr 0.170 0.000 0.583
3 S 0.064 0.000 0.746
4 S 0.113 0.500 0.051
5 S 0.229 0.500 0.611